Record 1
TbDyTm5Sc2: computed X-ray diffraction stick pattern (Cu Kα X-rays), based on a GGA-PBE-relaxed structure.
Peak positions follow from Bragg's law for the DFT cell and can differ from measured ones.

Cell and atoms:
Cell: 5.524 21.147 9.250 Å, 90.00 90.00 90.00°
Space group Cmc2_1 (No. 36)
Symmetry-distinct sites (fractional):
1 Tb 0.000 0.186 0.000 [4 per cell]
2 Dy 0.000 0.402 0.401 [4 per cell]
3 Tm 0.000 0.010 0.999 [4 per cell]
4 Tm 0.000 0.264 0.318 [4 per cell]
5 Tm 0.000 0.307 0.702 [4 per cell]
6 Tm 0.000 0.392 0.027 [4 per cell]
7 Tm 0.000 0.469 0.730 [4 per cell]
8 Sc 0.000 0.113 0.306 [4 per cell]
9 Sc 0.000 0.138 0.680 [4 per cell]

Main lines, in order of rising 2θ (10° ≤ 2θ ≤ 90°):
2θ 16.59, rel. 159; 2θ 25.47, rel. 155; 2θ 27.07, rel. 252; 2θ 30.19, rel. 125; 2θ 32.42, rel. 584; 2θ 32.96, rel. 1000; 2θ 33.55, rel. 607; 2θ 35.23, rel. 476; 2θ 42.73, rel. 196; 2θ 58.19, rel. 268

***

Record 2
Tb2Dy2TmSc2: computed X-ray diffraction stick pattern (Cu Kα X-rays), based on a GGA-PBE-relaxed structure.
Peak positions follow from Bragg's law for the DFT cell and can differ from measured ones.

Cell and atoms:
Cell: 11.259 3.410 11.497 Å, 90.00 109.10 90.00°
Space group C2/m (No. 12)
Symmetry-distinct sites (fractional):
1 Tb 0.170 0.000 0.088 [4 per cell]
2 Dy 0.048 0.000 0.767 [4 per cell]
3 Tm 0.000 0.500 0.500 [2 per cell]
4 Sc 0.228 0.500 0.367 [4 per cell]

Main lines, in order of rising 2θ (10° ≤ 2θ ≤ 90°):
2θ 15.97, rel. 354; 2θ 27.88, rel. 331; 2θ 29.49, rel. 352; 2θ 31.71, rel. 905; 2θ 31.91, rel. 730; 2θ 33.54, rel. 1000; 2θ 34.21, rel. 543; 2θ 36.55, rel. 779; 2θ 53.75, rel. 594; 2θ 63.22, rel. 291

***

Record 3
TbDyTm2Sc2: computed X-ray diffraction stick pattern (Cu Kα X-rays), based on a GGA-PBE-relaxed structure.
Peak positions follow from Bragg's law for the DFT cell and can differ from measured ones.

Cell and atoms:
Cell: 6.728 9.398 5.438 Å, 90.00 90.00 90.00°
Space group Pnnm (No. 58)
Symmetry-distinct sites (fractional):
1 Tb 0.000 0.000 0.000 [2 per cell]
2 Dy 0.000 0.500 0.500 [2 per cell]
3 Tm 0.250 0.167 0.500 [4 per cell]
4 Sc 0.250 0.333 0.000 [4 per cell]

Main lines, in order of rising 2θ (10° ≤ 2θ ≤ 90°):
2θ 23.07, rel. 379; 2θ 32.73, rel. 1000; 2θ 32.98, rel. 962; 2θ 40.63, rel. 91; 2θ 47.15, rel. 361; 2θ 58.74, rel. 373; 2θ 58.86, rel. 121; 2θ 65.25, rel. 265; 2θ 78.62, rel. 106; 2θ 84.47, rel. 131

***

Record 4
TbDy2TmSc: computed X-ray diffraction stick pattern (Cu Kα X-rays), based on a GGA-PBE-relaxed structure.
Peak positions follow from Bragg's law for the DFT cell and can differ from measured ones.

Cell and atoms:
Cell: 6.288 15.889 6.296 Å, 90.00 90.00 90.00°
Space group Cmcm (No. 63)
Symmetry-distinct sites (fractional):
1 Tb 0.000 0.160 0.250 [4 per cell]
2 Dy 0.249 0.500 0.000 [8 per cell]
3 Tm 0.000 0.250 0.750 [4 per cell]
4 Sc 0.000 0.345 0.250 [4 per cell]

Main lines, in order of rising 2θ (10° ≤ 2θ ≤ 90°):
2θ 22.38, rel. 208; 2θ 26.16, rel. 176; 2θ 30.56, rel. 1000; 2θ 34.69, rel. 286; 2θ 36.43, rel. 155; 2θ 40.56, rel. 339; 2θ 46.81, rel. 121; 2θ 54.41, rel. 157; 2θ 65.85, rel. 146; 2θ 67.63, rel. 206

***

Record 5
Tb2Dy2YSc: computed X-ray diffraction stick pattern (Cu Kα X-rays), based on a GGA-PBE-relaxed structure.
Peak positions follow from Bragg's law for the DFT cell and can differ from measured ones.

Cell and atoms:
Cell: 6.957 5.516 9.558 Å, 90.00 90.00 90.00°
Space group Pmma (No. 51)
Symmetry-distinct sites (fractional):
1 Tb 0.250 0.000 0.156 [2 per cell]
2 Tb 0.250 0.500 0.677 [2 per cell]
3 Dy 0.000 0.000 0.500 [2 per cell]
4 Dy 0.250 0.500 0.340 [2 per cell]
5 Y 0.000 0.500 0.000 [2 per cell]
6 Sc 0.250 0.000 0.826 [2 per cell]

Main lines, in order of rising 2θ (10° ≤ 2θ ≤ 90°):
2θ 31.82, rel. 935; 2θ 32.46, rel. 1000; 2θ 41.79, rel. 119; 2θ 46.09, rel. 330; 2θ 57.50, rel. 338; 2θ 57.90, rel. 186; 2θ 63.20, rel. 291; 2θ 67.96, rel. 117; 2θ 77.00, rel. 139; 2θ 82.04, rel. 136

***

Record 6
Tb4Dy2YSc: computed X-ray diffraction stick pattern (Cu Kα X-rays), based on a GGA-PBE-relaxed structure.
Peak positions follow from Bragg's law for the DFT cell and can differ from measured ones.

Cell and atoms:
Cell: 4.986 4.986 9.916 Å, 90.00 90.00 90.00°
Space group P4/mmm (No. 123)
Symmetry-distinct sites (fractional):
1 Tb 0.000 0.500 0.244 [4 per cell]
2 Dy 0.000 0.000 0.000 [1 per cell]
3 Dy 0.500 0.500 0.500 [1 per cell]
4 Y 0.000 0.000 0.500 [1 per cell]
5 Sc 0.500 0.500 0.000 [1 per cell]

Main lines, in order of rising 2θ (10° ≤ 2θ ≤ 90°):
2θ 19.93, rel. 83; 2θ 31.13, rel. 1000; 2θ 36.02, rel. 339; 2θ 36.24, rel. 165; 2θ 51.86, rel. 120; 2θ 52.02, rel. 234; 2θ 61.73, rel. 281; 2θ 62.02, rel. 135; 2θ 64.91, rel. 119; 2θ 85.03, rel. 113

***

Record 7
TbDy2Y4Sc: computed X-ray diffraction stick pattern (Cu Kα X-rays), based on a GGA-PBE-relaxed structure.
Peak positions follow from Bragg's law for the DFT cell and can differ from measured ones.

Cell and atoms:
Cell: 4.986 4.986 9.966 Å, 90.00 90.00 90.00°
Space group P4/mmm (No. 123)
Symmetry-distinct sites (fractional):
1 Tb 0.000 0.000 0.000 [1 per cell]
2 Dy 0.000 0.000 0.500 [1 per cell]
3 Dy 0.500 0.500 0.000 [1 per cell]
4 Y 0.000 0.500 0.255 [4 per cell]
5 Sc 0.500 0.500 0.500 [1 per cell]

Main lines, in order of rising 2θ (10° ≤ 2θ ≤ 90°):
2θ 17.79, rel. 59; 2θ 25.26, rel. 53; 2θ 31.07, rel. 1000; 2θ 36.03, rel. 502; 2θ 51.88, rel. 348; 2θ 61.72, rel. 409; 2θ 64.78, rel. 117; 2θ 76.43, rel. 54; 2θ 84.77, rel. 167; 2θ 87.51, rel. 156

***

Record 8
Tb2DyYSc4: computed X-ray diffraction stick pattern (Cu Kα X-rays), based on a GGA-PBE-relaxed structure.
Peak positions follow from Bragg's law for the DFT cell and can differ from measured ones.

Cell and atoms:
Cell: 4.901 4.901 9.322 Å, 90.00 90.00 90.00°
Space group P4/mmm (No. 123)
Symmetry-distinct sites (fractional):
1 Tb 0.000 0.000 0.000 [1 per cell]
2 Tb 0.500 0.500 0.500 [1 per cell]
3 Dy 0.000 0.000 0.500 [1 per cell]
4 Y 0.500 0.500 0.000 [1 per cell]
5 Sc 0.000 0.500 0.251 [4 per cell]

Main lines, in order of rising 2θ (10° ≤ 2θ ≤ 90°):
2θ 19.04, rel. 236; 2θ 25.71, rel. 233; 2θ 32.19, rel. 1000; 2θ 36.68, rel. 349; 2θ 38.63, rel. 151; 2θ 41.64, rel. 135; 2θ 52.84, rel. 119; 2θ 54.33, rel. 219; 2θ 63.23, rel. 274; 2θ 65.88, rel. 121

***

Record 9
Tb2Dy4YSc: computed X-ray diffraction stick pattern (Cu Kα X-rays), based on a GGA-PBE-relaxed structure.
Peak positions follow from Bragg's law for the DFT cell and can differ from measured ones.

Cell and atoms:
Cell: 4.979 4.979 9.908 Å, 90.00 90.00 90.00°
Space group P4/mmm (No. 123)
Symmetry-distinct sites (fractional):
1 Tb 0.000 0.000 0.000 [1 per cell]
2 Tb 0.500 0.500 0.500 [1 per cell]
3 Dy 0.000 0.500 0.244 [4 per cell]
4 Y 0.000 0.000 0.500 [1 per cell]
5 Sc 0.500 0.500 0.000 [1 per cell]

Main lines, in order of rising 2θ (10° ≤ 2θ ≤ 90°):
2θ 19.96, rel. 78; 2θ 31.16, rel. 1000; 2θ 36.08, rel. 339; 2θ 36.27, rel. 165; 2θ 51.94, rel. 119; 2θ 52.08, rel. 234; 2θ 61.82, rel. 281; 2θ 62.08, rel. 135; 2θ 64.99, rel. 120; 2θ 85.14, rel. 113

***

Record 10
Dy2Sc6Tc: computed X-ray diffraction stick pattern (Cu Kα X-rays), based on a GGA-PBE-relaxed structure.
Peak positions follow from Bragg's law for the DFT cell and can differ from measured ones.

Cell and atoms:
Cell: 3.432 14.804 8.657 Å, 90.00 90.00 90.00°
Space group Amm2 (No. 38)
Symmetry-distinct sites (fractional):
1 Dy 0.000 0.173 0.000 [4 per cell]
2 Sc 0.000 0.000 0.764 [2 per cell]
3 Sc 0.000 0.119 0.370 [4 per cell]
4 Sc 0.500 0.000 0.121 [2 per cell]
5 Sc 0.500 0.171 0.675 [4 per cell]
6 Tc 0.500 0.000 0.514 [2 per cell]

Main lines, in order of rising 2θ (10° ≤ 2θ ≤ 90°):
2θ 20.52, rel. 574; 2θ 20.72, rel. 1000; 2θ 28.64, rel. 643; 2θ 33.32, rel. 351; 2θ 33.45, rel. 648; 2θ 35.52, rel. 724; 2θ 36.05, rel. 943; 2θ 36.41, rel. 433; 2θ 41.61, rel. 480; 2θ 66.13, rel. 304

***

Record 11
Dy6Th3Sc: computed X-ray diffraction stick pattern (Cu Kα X-rays), based on a GGA-PBE-relaxed structure.
Peak positions follow from Bragg's law for the DFT cell and can differ from measured ones.

Cell and atoms:
Cell: 9.7784 9.7784 11.8010 Å, 90.00 90.00 120.00°
Space group R-3 (No. 148, hexagonal axes)
Symmetry-distinct sites (fractional):
1 Dy 0.0014 0.3304 0.4200 [18 per cell]
2 Th 0.0000 0.0000 0.0000 [3 per cell]
3 Th 0.0000 0.0000 0.2548 [6 per cell]
4 Sc 0.0000 0.0000 0.5000 [3 per cell]

Main lines, in order of rising 2θ (10° ≤ 2θ ≤ 90°):
2θ 29.14, rel. 667; 2θ 31.70, rel. 1000; 2θ 32.13, rel. 173; 2θ 37.14, rel. 119; 2θ 41.63, rel. 174; 2θ 43.59, rel. 225; 2θ 54.89, rel. 229; 2θ 56.46, rel. 200; 2θ 57.07, rel. 173; 2θ 66.22, rel. 122

***

Record 12
Dy3Th3Sc5: computed X-ray diffraction stick pattern (Cu Kα X-rays), based on a GGA-PBE-relaxed structure.
Peak positions follow from Bragg's law for the DFT cell and can differ from measured ones.

Cell and atoms:
Cell: 6.223 6.638 8.304 Å, 106.80 97.23 100.24°
Space group P1 (No. 1)
Symmetry-distinct sites (fractional):
1 Dy 0.000 0.000 0.000 [1 per cell]
2 Dy 0.194 0.175 0.527 [1 per cell]
3 Dy 0.460 0.925 0.214 [1 per cell]
4 Th 0.531 0.175 0.912 [1 per cell]
5 Th 0.739 0.372 0.519 [1 per cell]
6 Th 0.883 0.626 0.239 [1 per cell]
7 Sc 0.062 0.460 0.892 [1 per cell]
8 Sc 0.195 0.722 0.625 [1 per cell]
9 Sc 0.356 0.450 0.262 [1 per cell]
10 Sc 0.566 0.632 0.859 [1 per cell]
11 Sc 0.708 0.881 0.588 [1 per cell]

Main lines, in order of rising 2θ (10° ≤ 2θ ≤ 90°):
2θ 18.10, rel. 367; 2θ 20.97, rel. 455; 2θ 22.74, rel. 418; 2θ 26.60, rel. 375; 2θ 29.96, rel. 307; 2θ 33.11, rel. 674; 2θ 33.31, rel. 668; 2θ 33.88, rel. 1000; 2θ 34.04, rel. 323; 2θ 34.45, rel. 470

***

Record 13
DyTh2Sc2: computed X-ray diffraction stick pattern (Cu Kα X-rays), based on a GGA-PBE-relaxed structure.
Peak positions follow from Bragg's law for the DFT cell and can differ from measured ones.

Cell and atoms:
Cell: 14.111 6.870 6.040 Å, 90.00 98.67 90.00°
Space group P2_1/c (No. 14)
Symmetry-distinct sites (fractional):
1 Dy 0.200 0.121 0.146 [4 per cell]
2 Th 0.002 0.625 0.755 [4 per cell]
3 Th 0.402 0.126 0.557 [4 per cell]
4 Sc 0.200 0.626 0.153 [4 per cell]
5 Sc 0.401 0.629 0.543 [4 per cell]

Main lines, in order of rising 2θ (10° ≤ 2θ ≤ 90°):
2θ 12.69, rel. 176; 2θ 14.37, rel. 268; 2θ 31.58, rel. 506; 2θ 31.78, rel. 1000; 2θ 32.08, rel. 487; 2θ 36.55, rel. 344; 2θ 37.06, rel. 661; 2θ 52.70, rel. 241; 2θ 53.36, rel. 233; 2θ 63.30, rel. 346